Computed X-ray diffraction stick pattern
Compound: Ho2Ag6Pd
Radiation: λ = 1.5418 Å (Cu Kα)
Structure: the PBE geometry in Alexandria

```
data_Ho2Ag6Pd
_chemical_formula_sum 'Ho4 Ag12 Pd2'
_cell_length_a 13.577
_cell_length_b 4.023
_cell_length_c 7.007
_cell_angle_alpha 90.00
_cell_angle_beta 111.86
_cell_angle_gamma 90.00
_space_group_name_H-M_alt 'C 1 2/m 1'
_space_group_IT_number 12
_space_group_name_Hall '-C 2y'
loop_
_atom_site_label
_atom_site_type_symbol
_atom_site_fract_x
_atom_site_fract_y
_atom_site_fract_z
Ho1 Ho 0.057 0.000 0.309
Ag1 Ag 0.110 0.500 0.669
Ag2 Ag 0.170 0.000 0.999
Ag3 Ag 0.230 0.500 0.326
Pd1 Pd 0.000 0.500 0.000
```

Peak list (6 most intense, 5° ≤ 2θ ≤ 70°, sorted by position)
| 2theta | I/Imax | hkl |
| --- | --- | --- |
| 35.75 | 100 | 3 1 -2 |
| 37.00 | 95 | 3 1 1 |
| 39.90 | 37 | 6 0 -1 |
| 41.66 | 32 | 0 0 3 |
| 45.07 | 27 | 0 2 0 |
| 61.74 | 20 | 6 2 -1 |

Computed X-ray diffraction stick pattern
Compound: Ho5AgPd4
Radiation: λ = 1.5418 Å (Cu Kα)
Structure: the PBE geometry in Alexandria

```
data_Ho5AgPd4
_chemical_formula_sum 'Ho5 Ag1 Pd4'
_cell_length_a 3.509
_cell_length_b 3.509
_cell_length_c 17.711
_cell_angle_alpha 90.00
_cell_angle_beta 90.00
_cell_angle_gamma 90.00
_space_group_name_H-M_alt 'P 4/m m m'
_space_group_IT_number 123
_space_group_name_Hall '-P 4 2'
loop_
_atom_site_label
_atom_site_type_symbol
_atom_site_fract_x
_atom_site_fract_y
_atom_site_fract_z
Ho1 Ho 0.000 0.000 0.000
Ho2 Ho 0.000 0.000 0.197
Ho3 Ho 0.000 0.000 0.393
Ag1 Ag 0.500 0.500 0.500
Pd1 Pd 0.500 0.500 0.099
Pd2 Pd 0.500 0.500 0.297
```

Peak list (6 most intense, 5° ≤ 2θ ≤ 70°, sorted by position)
| 2theta | I/Imax | hkl |
| --- | --- | --- |
| 36.03 | 100 | 1 0 5 |
| 36.21 | 50 | 1 1 0 |
| 51.61 | 9 | 0 0 10 |
| 52.14 | 18 | 2 0 0 |
| 64.66 | 17 | 1 1 10 |
| 65.01 | 35 | 2 1 5 |

Computed X-ray diffraction stick pattern
Compound: Ho4Ag3Pd
Radiation: λ = 1.5418 Å (Cu Kα)
Structure: the PBE geometry in Alexandria

```
data_Ho4Ag3Pd
_chemical_formula_sum 'Ho4 Ag3 Pd1'
_cell_length_a 3.578
_cell_length_b 3.578
_cell_length_c 14.421
_cell_angle_alpha 90.00
_cell_angle_beta 90.00
_cell_angle_gamma 90.00
_space_group_name_H-M_alt 'P 4/m m m'
_space_group_IT_number 123
_space_group_name_Hall '-P 4 2'
loop_
_atom_site_label
_atom_site_type_symbol
_atom_site_fract_x
_atom_site_fract_y
_atom_site_fract_z
Ho1 Ho 0.000 0.000 0.117
Ho2 Ho 0.000 0.000 0.372
Ag1 Ag 0.500 0.500 0.246
Ag2 Ag 0.500 0.500 0.500
Pd1 Pd 0.500 0.500 0.000
```

Peak list (6 most intense, 5° ≤ 2θ ≤ 70°, sorted by position)
| 2theta | I/Imax | hkl |
| --- | --- | --- |
| 35.34 | 100 | 1 0 4 |
| 35.48 | 50 | 1 1 0 |
| 50.64 | 8 | 0 0 8 |
| 51.06 | 18 | 2 0 0 |
| 63.35 | 17 | 1 1 8 |
| 63.62 | 35 | 2 1 4 |

Computed X-ray diffraction stick pattern
Compound: PmHoAgPd
Radiation: λ = 1.5418 Å (Cu Kα)
Structure: the PBE geometry in Alexandria

```
data_PmHoAgPd
_chemical_formula_sum 'Pm2 Ho2 Ag2 Pd2'
_cell_length_a 4.757
_cell_length_b 3.792
_cell_length_c 10.806
_cell_angle_alpha 90.00
_cell_angle_beta 90.00
_cell_angle_gamma 90.00
_space_group_name_H-M_alt 'A m m 2'
_space_group_IT_number 38
_space_group_name_Hall 'A 2 -2'
loop_
_atom_site_label
_atom_site_type_symbol
_atom_site_fract_x
_atom_site_fract_y
_atom_site_fract_z
Pm1 Pm 0.000 0.000 0.000
Ho1 Ho 0.500 0.000 0.279
Ag1 Ag 0.500 0.000 0.561
Pd1 Pd 0.000 0.000 0.726
```

Peak list (6 most intense, 5° ≤ 2θ ≤ 70°, sorted by position)
| 2theta | I/Imax | hkl |
| --- | --- | --- |
| 31.28 | 100 | 1 1 1 |
| 33.16 | 28 | 0 0 4 |
| 34.34 | 24 | 0 1 3 |
| 37.83 | 35 | 2 0 0 |
| 38.32 | 22 | 1 0 4 |
| 39.36 | 62 | 1 1 3 |

Computed X-ray diffraction stick pattern
Compound: Ho4AgPd2Ru
Radiation: λ = 1.5418 Å (Cu Kα)
Structure: the PBE geometry in Alexandria

```
data_Ho4AgPd2Ru
_chemical_formula_sum 'Ho12 Ag3 Pd6 Ru3'
_cell_length_a 4.9439
_cell_length_b 4.9439
_cell_length_c 24.2697
_cell_angle_alpha 90.00
_cell_angle_beta 90.00
_cell_angle_gamma 120.00
_space_group_name_H-M_alt 'R -3 m'
_space_group_IT_number 166
_space_group_name_Hall '-R 3 2"'
loop_
_atom_site_label
_atom_site_type_symbol
_atom_site_fract_x
_atom_site_fract_y
_atom_site_fract_z
Ho1 Ho 0.0000 0.0000 0.1192
Ho2 Ho 0.0000 0.0000 0.3705
Ag1 Ag 0.0000 0.0000 0.5000
Pd1 Pd 0.0000 0.0000 0.2497
Ru1 Ru 0.0000 0.0000 0.0000
```

Peak list (6 most intense, 5° ≤ 2θ ≤ 70°, sorted by position)
| 2theta | I/Imax | hkl |
| --- | --- | --- |
| 25.46 | 5 | 1 0 4 |
| 36.32 | 100 | 1 1 0 |
| 52.30 | 17 | 2 0 8 |
| 59.05 | 2 | 2 1 4 |
| 65.33 | 25 | 1 2 8 |
| 65.39 | 9 | 3 0 0 |

Computed X-ray diffraction stick pattern
Compound: Pm2Ho6Ag
Radiation: λ = 1.5418 Å (Cu Kα)
Structure: the PBE geometry in Alexandria

```
data_Pm2Ho6Ag
_chemical_formula_sum 'Pm4 Ho12 Ag2'
_cell_length_a 9.765
_cell_length_b 10.137
_cell_length_c 5.429
_cell_angle_alpha 90.00
_cell_angle_beta 90.00
_cell_angle_gamma 90.00
_space_group_name_H-M_alt 'P n n m'
_space_group_IT_number 58
_space_group_name_Hall '-P 2 2n'
loop_
_atom_site_label
_atom_site_type_symbol
_atom_site_fract_x
_atom_site_fract_y
_atom_site_fract_z
Pm1 Pm 0.193 0.244 0.000
Ho1 Ho 0.021 0.317 0.500
Ho2 Ho 0.134 0.894 0.000
Ho3 Ho 0.185 0.569 0.000
Ag1 Ag 0.000 0.000 0.500
```

Peak list (6 most intense, 5° ≤ 2θ ≤ 70°, sorted by position)
| 2theta | I/Imax | hkl |
| --- | --- | --- |
| 31.18 | 31 | 0 3 1 |
| 32.06 | 100 | 3 0 1 |
| 32.22 | 35 | 2 3 0 |
| 32.53 | 74 | 1 3 1 |
| 33.00 | 57 | 0 0 2 |
| 46.79 | 25 | 2 3 2 |

What did the fourth record say?
Computed X-ray diffraction stick pattern
Compound: PmHoAgPd
Radiation: λ = 1.5418 Å (Cu Kα)
Structure: the PBE geometry in Alexandria

```
data_PmHoAgPd
_chemical_formula_sum 'Pm2 Ho2 Ag2 Pd2'
_cell_length_a 4.757
_cell_length_b 3.792
_cell_length_c 10.806
_cell_angle_alpha 90.00
_cell_angle_beta 90.00
_cell_angle_gamma 90.00
_space_group_name_H-M_alt 'A m m 2'
_space_group_IT_number 38
_space_group_name_Hall 'A 2 -2'
loop_
_atom_site_label
_atom_site_type_symbol
_atom_site_fract_x
_atom_site_fract_y
_atom_site_fract_z
Pm1 Pm 0.000 0.000 0.000
Ho1 Ho 0.500 0.000 0.279
Ag1 Ag 0.500 0.000 0.561
Pd1 Pd 0.000 0.000 0.726
```

Peak list (6 most intense, 5° ≤ 2θ ≤ 70°, sorted by position)
| 2theta | I/Imax | hkl |
| --- | --- | --- |
| 31.28 | 100 | 1 1 1 |
| 33.16 | 28 | 0 0 4 |
| 34.34 | 24 | 0 1 3 |
| 37.83 | 35 | 2 0 0 |
| 38.32 | 22 | 1 0 4 |
| 39.36 | 62 | 1 1 3 |